Entry 1:
Structure and theoretical XRD peak list of Ho6Mg2NO (a crystal structure in Alexandria, relaxed with GGA-PBE; copper Kα).
Lines closer than 0.1° are merged.

Structural model:
a b c (Å): 9.651 9.651 9.651
angles (deg): 90.00 90.00 90.00
Space group Fm-3m (No. 225)
Symmetry-distinct sites (fractional):
Ho: 0.000 0.000 0.247
Mg: 0.250 0.250 0.250
N: 0.000 0.000 0.000
O: 0.000 0.000 0.500

Principal peaks in the range 10 to 80 degrees two-theta, sorted by position:
| d [Å] | I/Imax |
| --- | --- |
| 4.826 | 28 |
| 3.412 | 15 |
| 2.786 | 100 |
| 2.413 | 57 |
| 2.158 | 13 |
| 1.970 | 7 |
| 1.706 | 39 |
| 1.609 | 7 |
| 1.455 | 42 |
| 1.393 | 13 |
| 1.290 | 4 |
| 1.206 | 6 |

Entry 2:
Structure and theoretical XRD peak list of NaHoMg2Pb2 (a crystal structure in Alexandria, relaxed with GGA-PBE; copper Kα).
Lines closer than 0.1° are merged.

Structural model:
a b c (Å): 4.9764 4.9764 26.2425
angles (deg): 90.00 90.00 120.00
Space group R-3m (No. 166, hexagonal axes)
Symmetry-distinct sites (fractional):
Na: 0.0000 0.0000 0.0000
Ho: 0.0000 0.0000 0.5000
Mg: 0.0000 0.0000 0.1205
Pb: 0.0000 0.0000 0.2437

Principal peaks in the range 10 to 80 degrees two-theta, sorted by position:
| d [Å] | I/Imax |
| --- | --- |
| 8.747 | 42 |
| 4.094 | 21 |
| 3.602 | 100 |
| 2.610 | 59 |
| 2.488 | 55 |
| 2.393 | 11 |
| 2.047 | 22 |
| 1.801 | 20 |
| 1.643 | 19 |
| 1.581 | 20 |
| 1.459 | 20 |
| 1.437 | 10 |

Entry 3:
Structure and theoretical XRD peak list of Nd12Ho2Mg (a crystal structure in Alexandria, relaxed with GGA-PBE; copper Kα).
Lines closer than 0.1° are merged.

Structural model:
a b c (Å): 7.208 11.682 24.857
angles (deg): 90.00 90.00 90.00
Space group Cmme (No. 67)
Symmetry-distinct sites (fractional):
Nd: 0.000 0.001 0.074
Nd: 0.000 0.024 0.560
Nd: 0.231 0.250 0.414
Nd: 0.249 0.250 0.872
Nd: 0.250 0.000 0.197
Nd: 0.250 0.000 0.324
Ho: 0.000 0.250 0.265
Ho: 0.000 0.250 0.731
Mg: 0.000 0.250 0.000

Principal peaks in the range 10 to 80 degrees two-theta, sorted by position:
| d [Å] | I/Imax |
| --- | --- |
| 3.115 | 28 |
| 3.034 | 36 |
| 2.978 | 100 |
| 2.920 | 75 |
| 2.746 | 98 |
| 2.719 | 19 |
| 2.465 | 31 |
| 2.131 | 18 |
| 1.651 | 22 |
| 1.601 | 18 |
| 1.534 | 20 |
| 1.506 | 20 |

Entry 4:
Structure and theoretical XRD peak list of Nd6Ho4Mg (a crystal structure in Alexandria, relaxed with GGA-PBE; copper Kα).
Lines closer than 0.1° are merged.

Structural model:
a b c (Å): 6.564 6.564 17.254
angles (deg): 90.00 90.00 90.00
Space group I-42m (No. 121)
Symmetry-distinct sites (fractional):
Nd: 0.000 0.500 0.000
Nd: 0.174 0.174 0.134
Ho: 0.182 0.182 0.328
Mg: 0.000 0.000 0.500

Principal peaks in the range 10 to 80 degrees two-theta, sorted by position:
| d [Å] | I/Imax |
| --- | --- |
| 4.313 | 17 |
| 4.087 | 28 |
| 3.160 | 42 |
| 3.067 | 40 |
| 2.894 | 100 |
| 2.876 | 33 |
| 2.612 | 55 |
| 2.444 | 18 |
| 2.236 | 54 |
| 2.076 | 24 |
| 1.585 | 25 |
| 1.446 | 21 |

Entry 5:
Structure and theoretical XRD peak list of Nd3Ho8Mg (a crystal structure in Alexandria, relaxed with GGA-PBE; copper Kα).
Lines closer than 0.1° are merged.

Structural model:
a b c (Å): 8.665 8.665 11.206
angles (deg): 90.00 90.00 90.00
Space group I-42m (No. 121)
Symmetry-distinct sites (fractional):
Nd: 0.000 0.000 0.000
Nd: 0.000 0.500 0.250
Ho: 0.126 0.126 0.746
Ho: 0.242 0.242 0.493
Mg: 0.000 0.000 0.500

Principal peaks in the range 10 to 80 degrees two-theta, sorted by position:
| d [Å] | I/Imax |
| --- | --- |
| 3.662 | 96 |
| 3.427 | 100 |
| 3.063 | 79 |
| 2.801 | 83 |
| 2.689 | 69 |
| 2.461 | 88 |
| 2.350 | 28 |
| 2.067 | 52 |
| 2.021 | 70 |
| 1.831 | 35 |
| 1.532 | 26 |
| 1.344 | 43 |

Entry 6:
Structure and theoretical XRD peak list of Nd15Ho2Mg2 (a crystal structure in Alexandria, relaxed with GGA-PBE; copper Kα).
Lines closer than 0.1° are merged.

Structural model:
a b c (Å): 11.3190 11.3190 17.7868
angles (deg): 90.00 90.00 120.00
Space group R-3m (No. 166, hexagonal axes)
Symmetry-distinct sites (fractional):
Nd: 0.0000 0.2963 0.0000
Nd: 0.0000 0.5000 0.5000
Nd: 0.0195 0.5098 0.1385
Ho: 0.0000 0.0000 0.3137
Mg: 0.0000 0.0000 0.0926

Principal peaks in the range 10 to 80 degrees two-theta, sorted by position:
| d [Å] | I/Imax |
| --- | --- |
| 5.659 | 27 |
| 3.420 | 23 |
| 3.293 | 13 |
| 3.268 | 15 |
| 2.964 | 33 |
| 2.879 | 40 |
| 2.862 | 100 |
| 2.830 | 38 |
| 2.554 | 53 |
| 1.798 | 15 |
| 1.643 | 12 |
| 1.634 | 18 |

Entry 7:
Structure and theoretical XRD peak list of Nd2Ho3Mg3 (a crystal structure in Alexandria, relaxed with GGA-PBE; copper Kα).
Lines closer than 0.1° are merged.

Structural model:
a b c (Å): 3.821 5.426 22.529
angles (deg): 90.00 90.00 90.00
Space group Immm (No. 71)
Symmetry-distinct sites (fractional):
Nd: 0.000 0.000 0.233
Ho: 0.000 0.000 0.000
Ho: 0.000 0.500 0.122
Mg: 0.000 0.000 0.500
Mg: 0.000 0.500 0.386

Principal peaks in the range 10 to 80 degrees two-theta, sorted by position:
| d [Å] | I/Imax |
| --- | --- |
| 4.398 | 13 |
| 3.767 | 23 |
| 3.466 | 32 |
| 2.816 | 22 |
| 2.732 | 100 |
| 2.713 | 26 |
| 2.201 | 11 |
| 2.094 | 12 |
| 1.954 | 15 |
| 1.658 | 11 |
| 1.609 | 12 |
| 1.570 | 20 |

Entry 8:
Structure and theoretical XRD peak list of NdHo4Mg (a crystal structure in Alexandria, relaxed with GGA-PBE; copper Kα).
Lines closer than 0.1° are merged.

Structural model:
a b c (Å): 3.585 3.585 14.231
angles (deg): 90.00 90.00 90.00
Space group P4/mmm (No. 123)
Symmetry-distinct sites (fractional):
Nd: 0.000 0.000 0.000
Ho: 0.000 0.000 0.349
Ho: 0.500 0.500 0.179
Mg: 0.500 0.500 0.500

Principal peaks in the range 10 to 80 degrees two-theta, sorted by position:
| d [Å] | I/Imax |
| --- | --- |
| 3.477 | 7 |
| 3.202 | 10 |
| 2.860 | 100 |
| 2.535 | 38 |
| 2.372 | 12 |
| 1.893 | 7 |
| 1.793 | 14 |
| 1.732 | 19 |
| 1.593 | 9 |
| 1.519 | 33 |
| 1.447 | 8 |
| 1.430 | 10 |

Entry 9:
Structure and theoretical XRD peak list of NdHo3Mg6 (a crystal structure in Alexandria, relaxed with GGA-PBE; copper Kα).
Lines closer than 0.1° are merged.

Structural model:
a b c (Å): 9.264 5.295 11.303
angles (deg): 90.00 106.16 90.00
Space group P2_1/m (No. 11)
Symmetry-distinct sites (fractional):
Nd: 0.054 0.250 0.395
Ho: 0.250 0.250 0.998
Ho: 0.352 0.750 0.799
Ho: 0.456 0.250 0.604
Mg: 0.050 0.750 0.905
Mg: 0.148 0.250 0.703
Mg: 0.148 0.750 0.196
Mg: 0.251 0.750 0.495
Mg: 0.346 0.250 0.294
Mg: 0.444 0.750 0.100

Principal peaks in the range 10 to 80 degrees two-theta, sorted by position:
| d [Å] | I/Imax |
| --- | --- |
| 3.762 | 100 |
| 2.671 | 31 |
| 2.668 | 61 |
| 2.652 | 90 |
| 2.166 | 15 |
| 1.881 | 33 |
| 1.687 | 21 |
| 1.680 | 14 |
| 1.544 | 17 |
| 1.535 | 22 |
| 1.533 | 17 |
| 1.530 | 11 |

Entry 10:
Structure and theoretical XRD peak list of NdHo4Mg2 (a crystal structure in Alexandria, relaxed with GGA-PBE; copper Kα).
Lines closer than 0.1° are merged.

Structural model:
a b c (Å): 3.520 34.694 3.480
angles (deg): 90.00 90.00 90.00
Space group Cmmm (No. 65)
Symmetry-distinct sites (fractional):
Nd: 0.000 0.000 0.000
Ho: 0.000 0.147 0.000
Ho: 0.000 0.424 0.500
Mg: 0.000 0.287 0.500

Principal peaks in the range 10 to 80 degrees two-theta, sorted by position:
| d [Å] | I/Imax |
| --- | --- |
| 8.673 | 39 |
| 3.139 | 17 |
| 2.982 | 80 |
| 2.870 | 100 |
| 2.714 | 38 |
| 2.478 | 31 |
| 2.468 | 78 |
| 1.815 | 43 |
| 1.552 | 14 |
| 1.516 | 21 |
| 1.488 | 28 |
| 1.435 | 13 |

> Which formula does entry 5 have?

Nd3Ho8Mg